Theoretical powder X-ray diffraction pattern
Compound: Li3Ag2Pb
Radiation: copper Kα
Structure: the PBE geometry in Alexandria
Peak positions follow from Bragg's law for the DFT cell and can differ from measured ones.

Atomic structure:
abc: 4.458 13.264 3.614
angles: 90.00 90.00 90.00
Element x y z (fractional)
Li (0.250, 0.077, 0.001)
Li (0.250, 0.423, 0.001)
Li (0.250, 0.750, 0.998)
Li (0.750, 0.250, 0.002)
Li (0.750, 0.577, 0.999)
Li (0.750, 0.923, 0.999)
Ag (0.250, 0.579, 0.500)
Ag (0.250, 0.921, 0.500)
Ag (0.750, 0.079, 0.500)
Ag (0.750, 0.421, 0.500)
Pb (0.250, 0.250, 0.501)
Pb (0.750, 0.750, 0.499)

Most intense lines, 10° ≤ 2θ ≤ 90°, low angle first:
2theta, I_rel
24.63, 66.7
28.43, 93.3
37.97, 100.0
47.95, 22.1
48.26, 21.5
58.98, 23.5



Theoretical powder X-ray diffraction pattern
Compound: Ac4NiPb8
Radiation: copper Kα
Structure: the PBE geometry in Alexandria
Peak positions follow from Bragg's law for the DFT cell and can differ from measured ones.

Atomic structure:
abc: 4.762 4.868 18.304
angles: 90.00 90.00 90.00
Element x y z (fractional)
Ac (0.000, 0.000, 0.000)
Ac (0.000, 0.500, 0.497)
Ac (0.500, 0.000, 0.202)
Ac (0.500, 0.500, 0.703)
Ni (0.500, 0.000, 0.410)
Pb (0.000, 0.000, 0.344)
Pb (0.000, 0.000, 0.668)
Pb (0.000, 0.500, 0.158)
Pb (0.000, 0.500, 0.855)
Pb (0.500, 0.000, 0.553)
Pb (0.500, 0.000, 0.848)
Pb (0.500, 0.500, 0.039)
Pb (0.500, 0.500, 0.342)

Most intense lines, 10° ≤ 2θ ≤ 90°, low angle first:
2theta, I_rel
29.27, 17.6
30.06, 100.0
36.93, 17.9
37.79, 16.9
48.51, 14.1
62.34, 13.2



Theoretical powder X-ray diffraction pattern
Compound: SrLiAg
Radiation: copper Kα
Structure: the PBE geometry in Alexandria
Peak positions follow from Bragg's law for the DFT cell and can differ from measured ones.

Atomic structure:
abc: 6.688 6.271 8.510
angles: 90.00 112.33 90.00
Element x y z (fractional)
Sr (0.188, 0.124, 0.372)
Sr (0.188, 0.376, 0.872)
Sr (0.812, 0.624, 0.128)
Sr (0.812, 0.876, 0.628)
Li (0.414, 0.603, 0.305)
Li (0.414, 0.897, 0.805)
Li (0.586, 0.103, 0.195)
Li (0.586, 0.397, 0.695)
Ag (0.202, 0.627, 0.529)
Ag (0.202, 0.873, 0.029)
Ag (0.798, 0.127, 0.971)
Ag (0.798, 0.373, 0.471)

Most intense lines, 10° ≤ 2θ ≤ 90°, low angle first:
2theta, I_rel
14.32, 43.2
26.74, 40.5
28.87, 48.9
32.07, 100.0
32.54, 40.8
35.87, 51.8



Theoretical powder X-ray diffraction pattern
Compound: Zr5InAu
Radiation: copper Kα
Structure: the PBE geometry in Alexandria
Peak positions follow from Bragg's law for the DFT cell and can differ from measured ones.

Atomic structure:
abc: 7.581 7.581 5.763
angles: 102.96 102.96 87.78
Element x y z (fractional)
Zr (0.157, 0.336, 0.589)
Zr (0.162, 0.543, 0.178)
Zr (0.229, 0.771, 0.750)
Zr (0.336, 0.157, 0.089)
Zr (0.457, 0.838, 0.322)
Zr (0.543, 0.162, 0.678)
Zr (0.664, 0.843, 0.911)
Zr (0.771, 0.229, 0.250)
Zr (0.838, 0.457, 0.822)
Zr (0.843, 0.664, 0.411)
In (0.061, 0.939, 0.250)
In (0.939, 0.061, 0.750)
Au (0.500, 0.500, 0.000)
Au (0.500, 0.500, 0.500)

Most intense lines, 10° ≤ 2θ ≤ 90°, low angle first:
2theta, I_rel
11.98, 59.6
32.91, 52.4
35.95, 86.0
36.52, 96.2
37.49, 100.0
37.98, 52.2



Theoretical powder X-ray diffraction pattern
Compound: Pm12Pr2Nd
Radiation: copper Kα
Structure: the PBE geometry in Alexandria
Peak positions follow from Bragg's law for the DFT cell and can differ from measured ones.

Atomic structure:
abc: 6.583 6.583 25.530
angles: 90.00 90.00 90.00
Element x y z (fractional)
Pm (0.065, 0.565, 0.115)
Pm (0.065, 0.935, 0.885)
Pm (0.083, 0.583, 0.439)
Pm (0.083, 0.917, 0.561)
Pm (0.250, 0.250, 0.216)
Pm (0.250, 0.250, 0.339)
Pm (0.250, 0.250, 0.661)
Pm (0.250, 0.250, 0.784)
Pm (0.417, 0.583, 0.561)
Pm (0.417, 0.917, 0.439)
Pm (0.435, 0.565, 0.885)
Pm (0.435, 0.935, 0.115)
Pm (0.565, 0.065, 0.885)
Pm (0.565, 0.435, 0.115)
Pm (0.583, 0.083, 0.561)
Pm (0.583, 0.417, 0.439)
Pm (0.750, 0.750, 0.216)
Pm (0.750, 0.750, 0.339)
Pm (0.750, 0.750, 0.661)
Pm (0.750, 0.750, 0.784)
Pm (0.917, 0.083, 0.439)
Pm (0.917, 0.417, 0.561)
Pm (0.935, 0.065, 0.115)
Pm (0.935, 0.435, 0.885)
Pr (0.250, 0.750, 0.269)
Pr (0.250, 0.750, 0.731)
Pr (0.750, 0.250, 0.269)
Pr (0.750, 0.250, 0.731)
Nd (0.250, 0.750, 0.000)
Nd (0.750, 0.250, 0.000)

Most intense lines, 10° ≤ 2θ ≤ 90°, low angle first:
2theta, I_rel
27.99, 79.3
29.09, 57.4
30.56, 98.9
31.15, 100.0
32.17, 92.3
37.13, 67.5



Theoretical powder X-ray diffraction pattern
Compound: La7CeSm4
Radiation: copper Kα
Structure: the PBE geometry in Alexandria
Peak positions follow from Bragg's law for the DFT cell and can differ from measured ones.

Atomic structure:
abc: 6.375 7.338 9.764
angles: 100.87 95.97 106.66
Element x y z (fractional)
La (0.000, 0.000, 0.000)
La (0.004, 0.173, 0.673)
La (0.496, 0.417, 0.162)
La (0.500, 0.250, 0.499)
La (0.500, 0.750, 0.501)
La (0.504, 0.583, 0.838)
La (0.996, 0.827, 0.327)
Ce (0.000, 0.500, 0.000)
Sm (0.002, 0.666, 0.669)
Sm (0.495, 0.913, 0.165)
Sm (0.505, 0.087, 0.835)
Sm (0.998, 0.334, 0.331)

Most intense lines, 10° ≤ 2θ ≤ 90°, low angle first:
2theta, I_rel
29.67, 33.5
29.73, 100.0
34.27, 22.8
34.53, 44.9
49.44, 32.3
58.58, 19.3



Theoretical powder X-ray diffraction pattern
Compound: Hf4BiSb
Radiation: copper Kα
Structure: the PBE geometry in Alexandria
Peak positions follow from Bragg's law for the DFT cell and can differ from measured ones.

Atomic structure:
abc: 7.717 7.717 7.717
angles: 106.15 106.15 116.34
Element x y z (fractional)
Hf (0.197, 0.000, 0.197)
Hf (0.215, 0.500, 0.286)
Hf (0.215, 0.929, 0.714)
Hf (0.250, 0.465, 0.786)
Hf (0.679, 0.465, 0.214)
Hf (0.750, 0.053, 0.303)
Hf (0.750, 0.447, 0.697)
Hf (0.803, 0.000, 0.803)
Bi (0.473, 0.973, 0.500)
Bi (0.723, 0.723, 0.000)
Sb (0.245, 0.245, 0.000)
Sb (0.995, 0.495, 0.500)

Most intense lines, 10° ≤ 2θ ≤ 90°, low angle first:
2theta, I_rel
19.14, 50.6
29.20, 100.0
30.49, 27.7
37.82, 58.6
38.85, 40.7
47.21, 46.1



Theoretical powder X-ray diffraction pattern
Compound: Ca3NdDy2Se6
Radiation: copper Kα
Structure: the PBE geometry in Alexandria
Peak positions follow from Bragg's law for the DFT cell and can differ from measured ones.

Atomic structure:
abc: 7.163 7.163 7.280
angles: 99.48 99.48 119.94
Element x y z (fractional)
Ca (0.000, 0.000, 0.000)
Ca (0.336, 0.664, 0.000)
Ca (0.664, 0.336, 0.000)
Nd (0.500, 0.500, 0.500)
Dy (0.168, 0.832, 0.500)
Dy (0.832, 0.168, 0.500)
Se (0.075, 0.417, 0.251)
Se (0.241, 0.241, 0.748)
Se (0.417, 0.075, 0.251)
Se (0.583, 0.925, 0.749)
Se (0.759, 0.759, 0.252)
Se (0.925, 0.583, 0.749)

Most intense lines, 10° ≤ 2θ ≤ 90°, low angle first:
2theta, I_rel
12.88, 23.8
30.38, 100.0
43.24, 37.4
43.76, 35.9
54.21, 18.9
71.35, 16.4



Theoretical powder X-ray diffraction pattern
Compound: Ba4CaZr5O15
Radiation: copper Kα
Structure: the PBE geometry in Alexandria
Peak positions follow from Bragg's law for the DFT cell and can differ from measured ones.

Atomic structure:
abc: 4.237 4.237 21.182
angles: 90.00 90.00 90.00
Element x y z (fractional)
Ba (0.000, 0.000, 0.101)
Ba (0.000, 0.000, 0.302)
Ba (0.000, 0.000, 0.698)
Ba (0.000, 0.000, 0.899)
Ca (0.000, 0.000, 0.500)
Zr (0.500, 0.500, 0.000)
Zr (0.500, 0.500, 0.201)
Zr (0.500, 0.500, 0.403)
Zr (0.500, 0.500, 0.597)
Zr (0.500, 0.500, 0.799)
O (0.000, 0.500, 0.000)
O (0.000, 0.500, 0.202)
O (0.000, 0.500, 0.406)
O (0.000, 0.500, 0.594)
O (0.000, 0.500, 0.798)
O (0.500, 0.000, 0.000)
O (0.500, 0.000, 0.202)
O (0.500, 0.000, 0.406)
O (0.500, 0.000, 0.594)
O (0.500, 0.000, 0.798)
O (0.500, 0.500, 0.101)
O (0.500, 0.500, 0.302)
O (0.500, 0.500, 0.500)
O (0.500, 0.500, 0.698)
O (0.500, 0.500, 0.899)

Most intense lines, 10° ≤ 2θ ≤ 90°, low angle first:
2theta, I_rel
29.83, 100.0
42.69, 32.9
52.94, 39.8
61.95, 20.0
70.26, 17.1
85.82, 20.5



Theoretical powder X-ray diffraction pattern
Compound: Y2Pd3Pb
Radiation: copper Kα
Structure: the PBE geometry in Alexandria
Peak positions follow from Bragg's law for the DFT cell and can differ from measured ones.

Atomic structure:
abc: 9.391 8.784 5.821
angles: 77.09 65.74 37.17
Element x y z (fractional)
Y (0.242, 0.758, 0.758)
Y (0.250, 0.250, 0.250)
Y (0.750, 0.750, 0.750)
Y (0.758, 0.242, 0.242)
Pd (0.165, 0.165, 0.835)
Pd (0.168, 0.665, 0.335)
Pd (0.335, 0.832, 0.168)
Pd (0.665, 0.168, 0.832)
Pd (0.832, 0.335, 0.665)
Pd (0.835, 0.835, 0.165)
Pb (0.333, 0.333, 0.667)
Pb (0.667, 0.667, 0.333)

Most intense lines, 10° ≤ 2θ ≤ 90°, low angle first:
2theta, I_rel
34.42, 100.0
34.56, 51.1
37.97, 49.1
38.34, 95.5
52.27, 31.0
68.41, 34.0



Theoretical powder X-ray diffraction pattern
Compound: SrLiAcS3
Radiation: copper Kα
Structure: the PBE geometry in Alexandria
Peak positions follow from Bragg's law for the DFT cell and can differ from measured ones.

Atomic structure:
abc: 8.784 4.188 8.800
angles: 90.00 98.41 90.00
Element x y z (fractional)
Sr (0.217, 0.250, 0.161)
Sr (0.783, 0.750, 0.839)
Li (0.418, 0.750, 0.918)
Li (0.582, 0.250, 0.082)
Ac (0.187, 0.250, 0.656)
Ac (0.813, 0.750, 0.344)
S (0.139, 0.750, 0.887)
S (0.161, 0.750, 0.411)
S (0.492, 0.750, 0.189)
S (0.508, 0.250, 0.811)
S (0.839, 0.250, 0.589)
S (0.861, 0.250, 0.113)

Most intense lines, 10° ≤ 2θ ≤ 90°, low angle first:
2theta, I_rel
10.18, 63.5
20.43, 62.4
23.58, 97.1
29.60, 100.0
30.35, 67.2
37.97, 70.8



Theoretical powder X-ray diffraction pattern
Compound: K3NaRu2O8
Radiation: copper Kα
Structure: the PBE geometry in Alexandria
Peak positions follow from Bragg's law for the DFT cell and can differ from measured ones.

Atomic structure:
abc: 6.084 6.084 15.497
angles: 90.34 90.34 60.10
Element x y z (fractional)
K (0.066, 0.934, 0.750)
K (0.302, 0.356, 0.084)
K (0.356, 0.302, 0.584)
K (0.644, 0.698, 0.416)
K (0.698, 0.644, 0.916)
K (0.934, 0.066, 0.250)
Na (0.000, 0.000, 0.000)
Na (0.000, 0.000, 0.500)
Ru (0.313, 0.364, 0.360)
Ru (0.364, 0.313, 0.860)
Ru (0.636, 0.687, 0.140)
Ru (0.687, 0.636, 0.640)
O (0.138, 0.235, 0.413)
O (0.157, 0.701, 0.378)
O (0.228, 0.608, 0.921)
O (0.235, 0.138, 0.913)
O (0.261, 0.391, 0.751)
O (0.299, 0.843, 0.122)
O (0.391, 0.261, 0.251)
O (0.392, 0.772, 0.579)
O (0.608, 0.228, 0.421)
O (0.609, 0.739, 0.749)
O (0.701, 0.157, 0.878)
O (0.739, 0.609, 0.249)
O (0.765, 0.862, 0.087)
O (0.772, 0.392, 0.079)
O (0.843, 0.299, 0.622)
O (0.862, 0.765, 0.587)

Most intense lines, 10° ≤ 2θ ≤ 90°, low angle first:
2theta, I_rel
16.82, 26.3
20.36, 72.4
28.54, 40.8
28.69, 23.3
29.35, 100.0
41.49, 24.4